Theoretical powder X-ray diffraction pattern of Ba2RuN2 for copper Kα, from a cell relaxed with PBE.
Lines closer than 0.1° are merged.

```
10
Lattice="4.1996 0.0000 0.0000 0.0000 4.1996 0.0000 0.0000 0.0000 13.2171" Properties=species:S:1:pos:R:3 pbc="T T T"
Ba 0.0000 0.0000 1.8372
Ba 0.0000 0.0000 11.3799
Ba 2.0998 2.0998 4.7713
Ba 2.0998 2.0998 8.4458
Ru 0.0000 0.0000 6.6086
Ru 2.0998 2.0998 0.0000
N 0.0000 0.0000 4.7851
N 0.0000 0.0000 8.4320
N 2.0998 2.0998 1.8234
N 2.0998 2.0998 11.3937
```

Largest 10 diffraction maxima, in order of rising 2θ, 15° ≤ 2θ ≤ 90°:
- 29.38 deg, I = 100
- 30.09 deg, I = 78
- 40.31 deg, I = 15
- 40.86 deg, I = 12
- 43.08 deg, I = 28
- 51.64 deg, I = 19
- 53.00 deg, I = 39
- 64.55 deg, I = 11
- 70.97 deg, I = 12
- 86.41 deg, I = 10